For Rb2NiAgF6, a crystal structure in the Materials Project, relaxed with PBE+U gives the theoretical XRD peak list in this record (Cu Kα (weighted mean of Kα1 and Kα2)).
Lines closer than 0.1° are merged.

Main lines, low angle first (15 to 90 degrees two-theta):
h k l	Position (°2θ)	I (rel.)
2 2 0	29.47	100
2 2 2	36.30	4
4 0 0	42.17	39
4 2 2	52.28	38
4 4 0	61.16	23
6 2 0	69.33	18
4 4 4	77.08	7
6 4 2	84.60	21

```
data_Rb2NiAgF6
_chemical_formula_sum 'Rb8 Ni4 Ag4 F24'
_space_group_name_H-M_alt 'F m -3 m'
_space_group_IT_number 225
_space_group_name_Hall '-F 4 2 3'
_cell_length_a 8.5720
_cell_length_b 8.5720
_cell_length_c 8.5720
_cell_angle_alpha 90.00
_cell_angle_beta 90.00
_cell_angle_gamma 90.00
loop_
_atom_site_label
_atom_site_type_symbol
_atom_site_fract_x
_atom_site_fract_y
_atom_site_fract_z
Rb1 Rb 0.2500 0.2500 0.2500
Ni1 Ni 0.0000 0.0000 0.0000
Ag1 Ag 0.0000 0.0000 0.5000
F1 F 0.0000 0.0000 0.2270
```

=====

For La3Fe4AgO12, a crystal structure in the Materials Project, relaxed with PBE+U gives the theoretical XRD peak list in this record (Cu Kα (weighted mean of Kα1 and Kα2)).
Lines closer than 0.1° are merged.

Main lines, low angle first (15 to 90 degrees two-theta):
h k l	Position (°2θ)	I (rel.)
1 2 -1	32.14	100
2 0 0	32.29	20
2 2 0	39.67	18
0 4 0	45.92	12
2 0 -2	46.15	11
2 0 2	46.33	12
2 4 0	57.22	17
3 2 -1	57.43	15

```
data_La3Fe4AgO12
_chemical_formula_sum 'La3 Fe4 Ag1 O12'
_space_group_name_H-M_alt 'P 1 m 1'
_space_group_IT_number 6
_cell_length_a 5.5441
_cell_length_b 7.9051
_cell_length_c 5.5616
_cell_angle_alpha 90.00
_cell_angle_beta 90.21
_cell_angle_gamma 90.00
loop_
_space_group_symop_operation_xyz
'x,y,z'
'x,-y,z'
loop_
_atom_site_label
_atom_site_type_symbol
_atom_site_fract_x
_atom_site_fract_y
_atom_site_fract_z
La1 La 0.0000 0.0000 0.0000
La2 La 0.0113 0.5000 0.0616
La3 La 0.5105 0.0000 0.4975
Fe1 Fe 0.0032 0.2549 0.5319
Fe2 Fe 0.5044 0.2556 0.0251
Ag1 Ag 0.5006 0.5000 0.5490
O1 O 0.0749 0.0000 0.5360
O2 O 0.2065 0.2748 0.8258
O3 O 0.2808 0.2849 0.3091
O4 O 0.4391 0.0000 0.0458
O5 O 0.5750 0.5000 0.0074
O6 O 0.7283 0.1999 0.7544
O7 O 0.7860 0.2117 0.2475
O8 O 0.9276 0.5000 0.5177
```

=====

For LaZnFeAgO6, a crystal structure in the Materials Project, relaxed with PBE+U gives the theoretical XRD peak list in this record (Cu Kα (weighted mean of Kα1 and Kα2)).
Lines closer than 0.1° are merged.

Main lines, low angle first (15 to 90 degrees two-theta):
h k l	Position (°2θ)	I (rel.)
1 0 0	19.51	14
1 1 1	30.60	100
1 1 -3	31.40	77
0 2 0	32.39	26
2 0 -2	34.64	24
0 0 4	40.41	23
2 2 -2	48.15	25
0 2 4	52.72	20

```
data_LaZnFeAgO6
_chemical_formula_sum 'La2 Zn2 Fe2 Ag2 O12'
_space_group_name_H-M_alt 'P 1 c 1'
_space_group_IT_number 7
_cell_length_a 5.1823
_cell_length_b 5.5275
_cell_length_c 10.1687
_cell_angle_alpha 90.00
_cell_angle_beta 118.60
_cell_angle_gamma 90.00
loop_
_space_group_symop_operation_xyz
'x,y,z'
'x,-y,z+1/2'
loop_
_atom_site_label
_atom_site_type_symbol
_atom_site_fract_x
_atom_site_fract_y
_atom_site_fract_z
La1 La 0.0000 0.1846 0.0000
Zn1 Zn 0.4266 0.3148 0.4919
Fe1 Fe 0.7139 0.2557 0.2479
Ag1 Ag 0.2235 0.2579 0.7481
O1 O 0.0476 0.4868 0.8450
O2 O 0.0668 0.0474 0.3054
O3 O 0.3755 0.4715 0.1737
O4 O 0.4288 0.0588 0.6510
O5 O 0.6360 0.3163 0.0527
O6 O 0.7297 0.2085 0.4336
```

=====

For MnFe2Ag2P3O12, a crystal structure in the Materials Project, relaxed with PBE+U gives the theoretical XRD peak list in this record (Cu Kα (weighted mean of Kα1 and Kα2)).
Lines closer than 0.1° are merged.

Main lines, low angle first (15 to 90 degrees two-theta):
h k l	Position (°2θ)	I (rel.)
2 2 0	21.09	35
3 1 -2	30.40	62
4 0 0	32.04	46
2 4 0	32.19	96
1 3 -2	34.64	100
1 3 2	40.10	16
5 3 -2	44.74	22
3 3 2	50.89	19

```
data_MnFe2Ag2P3O12
_chemical_formula_sum 'Mn4 Fe8 Ag8 P12 O48'
_space_group_name_H-M_alt 'C 1 2/c 1'
_space_group_IT_number 15
_cell_length_a 12.2480
_cell_length_b 12.8228
_cell_length_c 6.5891
_cell_angle_alpha 90.00
_cell_angle_beta 114.17
_cell_angle_gamma 90.00
loop_
_space_group_symop_operation_xyz
'x,y,z'
'-x,-y,-z'
'-x,y,-z+1/2'
'x,-y,z+1/2'
'x+1/2,y+1/2,z'
'-x+1/2,-y+1/2,-z'
'-x+1/2,y+1/2,-z+1/2'
'x+1/2,-y+1/2,z+1/2'
loop_
_atom_site_label
_atom_site_type_symbol
_atom_site_fract_x
_atom_site_fract_y
_atom_site_fract_z
Mn1 Mn 0.0000 0.2326 0.2500
Fe1 Fe 0.2217 0.3384 0.1285
Ag1 Ag 0.0000 0.0000 0.0000
Ag2 Ag 0.0000 0.4902 0.7500
P1 P 0.0000 0.2162 0.7500
P2 P 0.2369 0.3906 0.6253
O1 O 0.0461 0.2855 0.9643
O2 O 0.1001 0.1443 0.7437
O3 O 0.1289 0.1031 0.3247
O4 O 0.1659 0.3362 0.3962
O5 O 0.1793 0.4996 0.1160
O6 O 0.2242 0.3246 0.8142
```

=====

For Mn2FeAg2P3O12, a crystal structure in the Materials Project, relaxed with PBE+U gives the theoretical XRD peak list in this record (Cu Kα (weighted mean of Kα1 and Kα2)).
Lines closer than 0.1° are merged.

Main lines, low angle first (15 to 90 degrees two-theta):
h k l	Position (°2θ)	I (rel.)
2 2 0	20.98	22
3 1 -2	30.25	42
2 4 0	31.96	100
1 3 -2	34.51	40
1 1 2	34.70	27
0 6 0	41.95	15
3 3 2	50.89	16
6 4 0	56.95	16

```
data_Mn2FeAg2P3O12
_chemical_formula_sum 'Mn8 Fe4 Ag8 P12 O48'
_space_group_name_H-M_alt 'C 1 2 1'
_space_group_IT_number 5
_cell_length_a 12.3151
_cell_length_b 12.9324
_cell_length_c 6.6010
_cell_angle_alpha 90.00
_cell_angle_beta 114.55
_cell_angle_gamma 90.00
loop_
_space_group_symop_operation_xyz
'x,y,z'
'-x,y,-z'
'x+1/2,y+1/2,z'
'-x+1/2,y+1/2,-z'
loop_
_atom_site_label
_atom_site_type_symbol
_atom_site_fract_x
_atom_site_fract_y
_atom_site_fract_z
Mn1 Mn 0.0000 0.0000 0.0000
Mn2 Mn 0.0000 0.4650 0.5000
Mn3 Mn 0.2198 0.8878 0.8866
Fe1 Fe 0.2224 0.5756 0.3811
Ag1 Ag 0.9999 0.2338 0.2487
Ag2 Ag 0.0000 0.7261 0.0000
Ag3 Ag 0.0000 0.7458 0.5000
P1 P 0.0000 0.0203 0.5000
P2 P 0.0000 0.4507 0.0000
P3 P 0.2359 0.6228 0.8764
P4 P 0.2377 0.8441 0.3788
O1 O 0.0395 0.9527 0.7122
O2 O 0.0502 0.5219 0.2150
O3 O 0.0948 0.3808 0.9775
O4 O 0.1023 0.0937 0.5039
O5 O 0.1297 0.3382 0.5793
O6 O 0.1305 0.1313 0.0732
O7 O 0.1588 0.8937 0.1492
O8 O 0.1703 0.5653 0.6456
O9 O 0.1709 0.7283 0.8525
O10 O 0.1859 0.7318 0.3762
O11 O 0.2219 0.5612 0.0674
O12 O 0.2268 0.9127 0.5643
```

=====

For Mn2FeAg2P3O12, a crystal structure in the Materials Project, relaxed with PBE+U gives the theoretical XRD peak list in this record (Cu Kα (weighted mean of Kα1 and Kα2)).
Lines closer than 0.1° are merged.

Main lines, low angle first (15 to 90 degrees two-theta):
h k l	Position (°2θ)	I (rel.)
1 1 1	17.02	100
1 1 -2	19.86	63
2 2 -1	21.80	86
1 1 2	25.64	39
3 1 0	26.74	41
2 0 2	31.02	56
0 4 2	35.74	42
2 0 -4	37.46	61

```
data_Mn2FeAg2P3O12
_chemical_formula_sum 'Mn8 Fe4 Ag8 P12 O48'
_space_group_name_H-M_alt 'C 1 2 1'
_space_group_IT_number 5
_cell_length_a 11.2416
_cell_length_b 12.1797
_cell_length_c 9.6265
_cell_angle_alpha 90.00
_cell_angle_beta 112.32
_cell_angle_gamma 90.00
loop_
_space_group_symop_operation_xyz
'x,y,z'
'-x,y,-z'
'x+1/2,y+1/2,z'
'-x+1/2,y+1/2,-z'
loop_
_atom_site_label
_atom_site_type_symbol
_atom_site_fract_x
_atom_site_fract_y
_atom_site_fract_z
Mn1 Mn 0.0000 0.0000 0.0000
Mn2 Mn 0.0000 0.1506 0.5000
Mn3 Mn 0.2245 0.8127 0.9014
Fe1 Fe 0.1851 0.4306 0.2966
Ag1 Ag 0.0000 0.5320 0.0000
Ag2 Ag 0.0000 0.7314 0.5000
Ag3 Ag 0.1390 0.1546 0.2880
P1 P 0.0000 0.4641 0.5000
P2 P 0.0000 0.7730 0.0000
P3 P 0.1039 0.9794 0.3678
P4 P 0.1084 0.3178 0.7777
O1 O 0.0073 0.7057 0.1362
O2 O 0.0094 0.8870 0.3175
O3 O 0.0192 0.3555 0.2086
O4 O 0.0749 0.5263 0.4224
O5 O 0.0854 0.1970 0.7114
O6 O 0.1066 0.3852 0.6193
O7 O 0.1137 0.8627 0.0278
O8 O 0.1164 0.1363 0.0234
O9 O 0.1577 0.0049 0.5383
O10 O 0.2052 0.4570 0.1164
O11 O 0.2283 0.7890 0.6977
O12 O 0.2425 0.1483 0.0457
```

=====

For Fe2AgMo3O12, a crystal structure in the Materials Project, relaxed with PBE+U gives the theoretical XRD peak list in this record (Cu Kα (weighted mean of Kα1 and Kα2)).
Lines closer than 0.1° are merged.

Main lines, low angle first (15 to 90 degrees two-theta):
h k l	Position (°2θ)	I (rel.)
0 0 3	24.02	88
0 2 0	25.60	100
2 0 1	25.96	50
2 1 1	27.14	18
2 1 0	27.42	25
1 0 -3	28.99	18
0 2 3	33.69	24
4 1 1	52.41	23

```
data_Fe2AgMo3O12
_chemical_formula_sum 'Fe4 Ag2 Mo6 O24'
_space_group_name_H-M_alt 'P -1'
_space_group_IT_number 2
_cell_length_a 7.0239
_cell_length_b 7.0630
_cell_length_c 11.3033
_cell_angle_alpha 83.55
_cell_angle_beta 80.85
_cell_angle_gamma 81.76
loop_
_space_group_symop_operation_xyz
'x,y,z'
'-x,-y,-z'
loop_
_atom_site_label
_atom_site_type_symbol
_atom_site_fract_x
_atom_site_fract_y
_atom_site_fract_z
Fe1 Fe 0.1740 0.3173 0.0069
Fe2 Fe 0.2243 0.7305 0.3891
Ag1 Ag 0.4054 0.6526 0.7050
Mo1 Mo 0.1026 0.2612 0.3530
Mo2 Mo 0.2833 0.2128 0.6876
Mo3 Mo 0.2921 0.7803 0.0490
O1 O 0.0646 0.2528 0.6144
O2 O 0.0913 0.2775 0.1981
O3 O 0.1265 0.6272 0.0102
O4 O 0.1478 0.6847 0.5728
O5 O 0.2011 0.0194 0.3971
O6 O 0.2107 0.0202 0.0016
O7 O 0.2468 0.3547 0.8135
O8 O 0.2610 0.4369 0.3734
O9 O 0.2904 0.7611 0.2102
O10 O 0.3271 0.9678 0.7379
O11 O 0.4680 0.2898 0.0250
O12 O 0.4970 0.2836 0.5877
```

=====

For FeAgMo2O8, a crystal structure in the Materials Project, relaxed with PBE+U gives the theoretical XRD peak list in this record (Cu Kα (weighted mean of Kα1 and Kα2)).
Lines closer than 0.1° are merged.

Main lines, low angle first (15 to 90 degrees two-theta):
h k l	Position (°2θ)	I (rel.)
2 1 0	23.20	52
2 1 -1	29.22	100
2 1 1	29.36	100
0 2 1	35.37	27
0 0 2	35.71	26
2 3 0	49.91	25
4 2 -1	50.91	27
4 0 -2	51.07	29

```
data_FeAgMo2O8
_chemical_formula_sum 'Fe2 Ag2 Mo4 O16'
_space_group_name_H-M_alt 'P 1 2/c 1'
_space_group_IT_number 13
_cell_length_a 10.1136
_cell_length_b 5.8793
_cell_length_c 5.0285
_cell_angle_alpha 90.00
_cell_angle_beta 90.37
_cell_angle_gamma 90.00
loop_
_space_group_symop_operation_xyz
'x,y,z'
'-x,-y,-z'
'-x,y,-z+1/2'
'x,-y,z+1/2'
loop_
_atom_site_label
_atom_site_type_symbol
_atom_site_fract_x
_atom_site_fract_y
_atom_site_fract_z
Fe1 Fe 0.0000 0.1667 0.2500
Ag1 Ag 0.5000 0.1829 0.2500
Mo1 Mo 0.2319 0.3203 0.7495
O1 O 0.1072 0.1235 0.9109
O2 O 0.1223 0.3774 0.4283
O3 O 0.3256 0.4049 0.0595
O4 O 0.3475 0.1293 0.6195
```

=====

For FeAgO2, a crystal structure in the Materials Project, relaxed with PBE+U gives the theoretical XRD peak list in this record (Cu Kα (weighted mean of Kα1 and Kα2)).
Lines closer than 0.1° are merged.

Main lines, low angle first (15 to 90 degrees two-theta):
h k l	Position (°2θ)	I (rel.)
0 0 6	28.45	45
1 0 1	33.97	22
0 1 2	34.99	100
1 0 4	38.83	47
0 1 8	51.83	37
1 1 0	60.15	46
1 1 6	67.83	21
2 0 2	71.50	11

```
data_FeAgO2
_chemical_formula_sum 'Fe3 Ag3 O6'
_space_group_name_H-M_alt 'R -3 m'
_space_group_IT_number 166
_space_group_name_Hall '-R 3 2"'
_cell_length_a 3.0777
_cell_length_b 3.0777
_cell_length_c 18.8239
_cell_angle_alpha 90.00
_cell_angle_beta 90.00
_cell_angle_gamma 120.00
loop_
_atom_site_label
_atom_site_type_symbol
_atom_site_fract_x
_atom_site_fract_y
_atom_site_fract_z
Fe1 Fe 0.0000 0.0000 0.0000
Ag1 Ag 0.0000 0.0000 0.5000
O1 O 0.0000 0.0000 0.3876
```